# 1
Simulated X-ray diffraction stick pattern
Compound: Co3P2H4O10
Radiation: Cu Kα X-rays
Structure: a structure optimized by DFT (PBE+U)

Principal peaks in the range 2θ from 10° to 90°, in order of rising 2θ:
two_theta  d/Å  I (rel.)  index
17.6  5.029  37  1 1 0
25.7  3.463  67  1 1 1
26.5  3.366  38  2 0 0
26.6  3.350  100  1 1 -2
27.2  3.284  34  0 2 1
38.1  2.359  30  0 3 1

Structure:
```
data_Co3P2H4O10
_chemical_formula_sum 'Co6 P4 H8 O20'
_cell_length_a 7.6107
_cell_length_b 7.5668
_cell_length_c 7.4755
_cell_angle_alpha 90.00
_cell_angle_beta 117.81
_cell_angle_gamma 90.00
_symmetry_space_group_name_H-M 'P 1 21/c 1'
_symmetry_Int_Tables_number 14
loop_
_symmetry_equiv_pos_as_xyz
'x,y,z'
'-x,-y,-z'
'-x,y+1/2,-z+1/2'
'x,-y+1/2,z+1/2'
loop_
_atom_site_label
_atom_site_fract_x
_atom_site_fract_y
_atom_site_fract_z
Co1 0.0000 0.0000 0.0000
Co2 0.2535 0.2254 0.4804
P1 0.2362 0.6183 0.2374
H1 0.3681 0.6719 0.9733
H2 0.3686 0.0548 0.2637
O1 0.0580 0.7361 0.1082
O2 0.1840 0.0151 0.8592
O3 0.2514 0.1301 0.2233
O4 0.3278 0.5292 0.1143
O5 0.4120 0.7459 0.3936
```

***

# 2
Simulated X-ray diffraction stick pattern
Compound: Ba3Sr5Co4Cu4O24
Radiation: Cu Kα X-rays
Structure: a structure optimized by DFT (PBE+U)

Principal peaks in the range 2θ from 10° to 90°, in order of rising 2θ:
two_theta  d/Å  I (rel.)  index
31.9  2.804  51  4 0 0
32.1  2.785  100  2 2 2
45.8  1.983  36  4 4 0
57.0  1.615  38  6 2 2
57.4  1.604  19  4 0 4
67.2  1.392  20  4 4 4

Structure:
```
data_Ba3Sr5Co4Cu4O24
_chemical_formula_sum 'Ba6 Sr10 Co8 Cu8 O48'
_cell_length_a 11.2214
_cell_length_b 11.2134
_cell_length_c 7.8229
_cell_angle_alpha 90.00
_cell_angle_beta 90.03
_cell_angle_gamma 90.00
_symmetry_space_group_name_H-M 'C 1 m 1'
_symmetry_Int_Tables_number 8
loop_
_symmetry_equiv_pos_as_xyz
'x,y,z'
'x,-y,z'
'x+1/2,y+1/2,z'
'x+1/2,-y+1/2,z'
loop_
_atom_site_label
_atom_site_fract_x
_atom_site_fract_y
_atom_site_fract_z
Ba1 0.0000 0.0000 0.0000
Ba2 0.2519 0.2519 0.0001
Sr1 0.0051 0.5000 0.5028
Sr2 0.0050 0.5000 0.9994
Sr3 0.2515 0.2541 0.5034
Sr4 0.4986 0.5000 0.5032
Co1 0.0017 0.2516 0.2551
Co2 0.2527 0.0000 0.2578
Co3 0.2545 0.0000 0.7491
Cu1 0.0022 0.2503 0.7500
Cu2 0.2517 0.5000 0.2533
Cu3 0.2516 0.5000 0.7508
O1 0.0018 0.2506 0.4909
O2 0.0024 0.2550 0.0153
O3 0.1230 0.3773 0.7417
O4 0.1237 0.3771 0.2589
O5 0.1276 0.1257 0.7413
O6 0.1334 0.1188 0.2605
O7 0.2445 0.5000 0.0022
O8 0.2491 0.5000 0.5018
O9 0.2535 0.0000 0.5168
O10 0.2551 0.0000 0.9828
O11 0.3733 0.1169 0.2578
O12 0.3771 0.3740 0.2636
O13 0.3771 0.3736 0.7374
O14 0.3794 0.1233 0.7450
```

***

# 3
Simulated X-ray diffraction stick pattern
Compound: Li9Mn7O16
Radiation: Cu Kα X-rays
Structure: a structure optimized by DFT (PBE+U)

Principal peaks in the range 2θ from 10° to 90°, in order of rising 2θ:
two_theta  d/Å  I (rel.)  index
18.2  4.862  100  0 0 2
34.0  2.637  19  1 -2 0
36.2  2.483  12  1 2 -2
36.3  2.472  13  2 0 0
40.8  2.209  35  -1 2 2
44.2  2.049  55  2 0 2

Structure:
```
data_Li9Mn7O16
_chemical_formula_sum 'Li9 Mn7 O16'
_cell_length_a 5.0474
_cell_length_b 6.0569
_cell_length_c 10.1992
_cell_angle_alpha 103.60
_cell_angle_beta 100.17
_cell_angle_gamma 93.03
_symmetry_space_group_name_H-M 'P -1'
_symmetry_Int_Tables_number 2
loop_
_symmetry_equiv_pos_as_xyz
'x,y,z'
'-x,-y,-z'
loop_
_atom_site_label
_atom_site_fract_x
_atom_site_fract_y
_atom_site_fract_z
Li1 0.0000 0.0000 0.0000
Li2 0.2435 0.8787 0.2445
Li3 0.2452 0.3692 0.2467
Li4 0.2469 0.3792 0.7533
Li5 0.2469 0.8719 0.7520
Mn1 0.0000 0.0000 0.5000
Mn2 0.0000 0.5000 0.0000
Mn3 0.0000 0.5000 0.5000
Mn4 0.5003 0.2412 0.9994
Mn5 0.4998 0.2499 0.4998
O1 0.1312 0.2242 0.8949
O2 0.1360 0.6792 0.8868
O3 0.1375 0.1740 0.3808
O4 0.1388 0.6754 0.3834
O5 0.3603 0.0754 0.6167
O6 0.3619 0.5741 0.6168
O7 0.3627 0.5622 0.1112
O8 0.3963 0.0578 0.1155
```

***

# 4
Simulated X-ray diffraction stick pattern
Compound: Li3Mn2CoO6
Radiation: Cu Kα X-rays
Structure: a structure optimized by DFT (PBE+U)

Principal peaks in the range 2θ from 10° to 90°, in order of rising 2θ:
two_theta  d/Å  I (rel.)  index
18.3  4.856  100  0 0 1
34.5  2.602  16  2 0 -1
35.9  2.501  27  1 3 0
41.5  2.175  29  2 0 -2
43.8  2.067  50  1 3 1
61.9  1.500  15  3 3 -1

Structure:
```
data_Li3Mn2CoO6
_chemical_formula_sum 'Li6 Mn4 Co2 O12'
_cell_length_a 5.2523
_cell_length_b 8.7476
_cell_length_c 5.2392
_cell_angle_alpha 90.00
_cell_angle_beta 112.05
_cell_angle_gamma 90.00
_symmetry_space_group_name_H-M 'C 1 2 1'
_symmetry_Int_Tables_number 5
loop_
_symmetry_equiv_pos_as_xyz
'x,y,z'
'-x,y,-z'
'x+1/2,y+1/2,z'
'-x+1/2,y+1/2,-z'
loop_
_atom_site_label
_atom_site_fract_x
_atom_site_fract_y
_atom_site_fract_z
Li1 0.0000 0.0000 0.0000
Li2 0.0000 0.3308 0.0000
Li3 0.0000 0.6671 0.0000
Mn1 0.0000 0.1698 0.5000
Mn2 0.0000 0.8363 0.5000
Co1 0.0000 0.4976 0.5000
O1 0.2238 0.0035 0.7284
O2 0.2334 0.3215 0.7404
O3 0.2406 0.1748 0.2873
```

***

# 5
Simulated X-ray diffraction stick pattern
Compound: MgV5O10
Radiation: Cu Kα X-rays
Structure: a structure optimized by DFT (PBE+U)

Principal peaks in the range 2θ from 10° to 90°, in order of rising 2θ:
two_theta  d/Å  I (rel.)  index
21.6  4.122  89  0 1 1
22.6  3.928  97  0 1 -1
26.2  3.401  72  1 0 -1
27.8  3.208  100  1 0 2
38.3  2.348  98  2 2 1
44.4  2.040  85  -1 1 2

Structure:
```
data_MgV5O10
_chemical_formula_sum 'Mg1 V5 O10'
_cell_length_a 5.3790
_cell_length_b 5.6069
_cell_length_c 7.2984
_cell_angle_alpha 78.67
_cell_angle_beta 70.64
_cell_angle_gamma 62.30
_symmetry_space_group_name_H-M 'P 1'
_symmetry_Int_Tables_number 1
loop_
_symmetry_equiv_pos_as_xyz
'x,y,z'
loop_
_atom_site_label
_atom_site_fract_x
_atom_site_fract_y
_atom_site_fract_z
Mg1 0.0000 0.0000 0.0000
V1 0.1479 0.5253 0.8240
V2 0.4132 0.0549 0.2296
V3 0.5446 0.5579 0.0563
V4 0.7288 0.5405 0.6082
V5 0.8405 0.0400 0.4516
O1 0.0450 0.2458 0.4372
O2 0.2058 0.8539 0.2250
O3 0.3081 0.3127 0.0451
O4 0.3708 0.7293 0.8334
O5 0.5333 0.3286 0.6238
O6 0.6121 0.8214 0.4354
O7 0.6794 0.2262 0.2273
O8 0.7564 0.7777 0.0395
O9 0.9024 0.3404 0.8350
O10 0.9564 0.7606 0.6238
```

***

# 6
Simulated X-ray diffraction stick pattern
Compound: Li3Fe8B8O24
Radiation: Cu Kα X-rays
Structure: a structure optimized by DFT (PBE+U)

Principal peaks in the range 2θ from 10° to 90°, in order of rising 2θ:
two_theta  d/Å  I (rel.)  index
19.6  4.533  63  1 -1 0
21.4  4.151  100  1 1 -1
26.2  3.407  58  1 1 2
26.4  3.376  42  1 1 -2
34.2  2.625  54  1 -3 0
35.5  2.526  73  0 0 4

Structure:
```
data_Li3Fe8B8O24
_chemical_formula_sum 'Li3 Fe8 B8 O24'
_cell_length_a 5.2489
_cell_length_b 9.1563
_cell_length_c 10.1040
_cell_angle_alpha 89.32
_cell_angle_beta 89.95
_cell_angle_gamma 89.41
_symmetry_space_group_name_H-M 'P 1'
_symmetry_Int_Tables_number 1
loop_
_symmetry_equiv_pos_as_xyz
'x,y,z'
loop_
_atom_site_label
_atom_site_fract_x
_atom_site_fract_y
_atom_site_fract_z
Li1 0.0000 0.0000 0.0000
Li2 0.1771 0.1591 0.7387
Li3 0.5291 0.5014 0.5020
Fe1 0.0128 0.6594 0.9726
Fe2 0.0191 0.3261 0.4753
Fe3 0.1773 0.8192 0.2311
Fe4 0.1832 0.4910 0.7271
Fe5 0.4991 0.1721 0.9757
Fe6 0.5318 0.8319 0.4744
Fe7 0.6758 0.3284 0.2185
Fe8 0.6785 0.9866 0.7207
B1 0.0010 0.3264 0.9716
B2 0.0138 0.6526 0.4697
B3 0.1767 0.4940 0.2260
B4 0.1820 0.8322 0.7333
B5 0.5178 0.8289 0.9760
B6 0.5230 0.1660 0.4797
B7 0.6740 0.9939 0.2201
B8 0.6800 0.3157 0.7120
O1 0.0166 0.3842 0.2748
O2 0.0395 0.9597 0.7363
O3 0.0681 0.6225 0.1739
O4 0.0829 0.7015 0.7795
O5 0.1105 0.4570 0.9324
O6 0.1251 0.1950 0.9490
O7 0.1478 0.5244 0.5105
O8 0.1604 0.7674 0.4217
O9 0.2580 0.8296 0.0164
O10 0.2656 0.1776 0.4896
O11 0.4315 0.4766 0.2347
O12 0.4305 0.8371 0.6856
O13 0.5193 0.8839 0.2686
O14 0.5401 0.4375 0.6937
O15 0.5636 0.1290 0.1900
O16 0.5693 0.1874 0.7636
O17 0.6218 0.9608 0.9282
O18 0.6544 0.0426 0.5244
O19 0.6627 0.2863 0.4301
O20 0.6643 0.7073 0.9832
O21 0.7576 0.6585 0.4785
O22 0.7591 0.3287 0.0267
O23 0.9283 0.9682 0.1965
O24 0.9396 0.3106 0.6764
```